The following is a calculated PXRD pattern of Nb3TeBr7. It was derived from a crystal structure in Alexandria, relaxed with GGA-PBE, using Cu Kα.
Lines closer than 0.1° are merged.

Unit cell a=7.2734 b=7.2734 c=9.3752 alpha=123.59 beta=123.59 gamma=59.98
Atoms (fractional coordinates):
Nb1 0.0000 0.0000 0.0000
Nb2 0.0005 0.4098 0.0007
Nb3 0.4098 0.0005 0.0007
Te1 0.9976 0.9976 0.7071
Br1 0.0456 0.5436 0.8061
Br2 0.4149 0.9163 0.2369
Br3 0.4157 0.4157 0.2383
Br4 0.5436 0.0456 0.8061
Br5 0.5439 0.5439 0.8064
Br6 0.8974 0.8974 0.1976
Br7 0.9163 0.4149 0.2369

Largest 10 diffraction maxima, in order of rising 2θ, 2θ = 5–70°:
7.213 Å, intensity 1000; 5.817 Å, intensity 188; 2.908 Å, intensity 834; 2.863 Å, intensity 187; 2.840 Å, intensity 479; 2.397 Å, intensity 468; 2.348 Å, intensity 180; 2.322 Å, intensity 158; 1.891 Å, intensity 257; 1.817 Å, intensity 405


The following is a calculated PXRD pattern of Ti2NbBr8. It was derived from a crystal structure in Alexandria, relaxed with GGA-PBE, using Cu Kα.
Lines closer than 0.1° are merged.

Unit cell a=8.1254 b=8.1254 c=6.2925 alpha=91.69 beta=91.69 gamma=77.33
Atoms (fractional coordinates):
Ti1 0.1718 0.1718 0.3446
Ti2 0.8282 0.8282 0.6554
Nb1 0.0000 0.0000 0.0000
Br1 0.1137 0.7056 0.7840
Br2 0.1632 0.1632 0.7370
Br3 0.2944 0.8863 0.2160
Br4 0.3533 0.3533 0.2684
Br5 0.6467 0.6467 0.7316
Br6 0.7056 0.1137 0.7840
Br7 0.8368 0.8368 0.2630
Br8 0.8863 0.2944 0.2160

Largest 10 diffraction maxima, in order of rising 2θ, 2θ = 5–70°:
7.925 Å, intensity 960; 5.076 Å, intensity 251; 4.983 Å, intensity 320; 3.389 Å, intensity 407; 3.317 Å, intensity 1000; 3.144 Å, intensity 389; 2.538 Å, intensity 289; 2.435 Å, intensity 251; 2.276 Å, intensity 245; 1.951 Å, intensity 332


Number 1 is which compound?
Nb3TeBr7


What is the formula in the first record?
Nb3TeBr7